The following is a simulated X-ray powder pattern of GdPH5CO7. It was derived from a GGA-PBE-relaxed structure, using Cu Kα.

Cell and atoms:
a b c (Å): 6.407 6.810 7.364
angles (deg): 109.87 93.58 91.54
Fractional coordinates of all 30 atoms:
Gd1 0.127 0.227 0.441
Gd2 0.873 0.773 0.559
P1 0.338 0.755 0.488
P2 0.662 0.245 0.512
H1 0.170 0.527 0.832
H2 0.291 0.331 0.868
H3 0.414 0.733 0.308
H4 0.456 0.859 0.078
H5 0.460 0.239 0.128
H6 0.540 0.761 0.872
H7 0.544 0.141 0.922
H8 0.586 0.267 0.692
H9 0.709 0.669 0.132
H10 0.830 0.473 0.168
C1 0.061 0.906 0.004
C2 0.939 0.094 0.996
O1 0.050 0.749 0.849
O2 0.162 0.920 0.160
O3 0.179 0.571 0.459
O4 0.207 0.952 0.552
O5 0.217 0.383 0.771
O6 0.422 0.207 0.988
O7 0.473 0.235 0.372
O8 0.527 0.765 0.628
O9 0.578 0.793 0.012
O10 0.783 0.617 0.229
O11 0.793 0.048 0.448
O12 0.821 0.429 0.541
O13 0.838 0.080 0.840
O14 0.950 0.251 0.151

Peak list (10 most intense, 10 to 90 degrees two-theta, low angle first)
| 2θ (°) | d_spacing | intensity |
| --- | --- | --- |
| 12.82 | 6.906 | 100 |
| 13.86 | 6.387 | 40 |
| 19.64 | 4.520 | 15 |
| 20.54 | 4.324 | 18 |
| 25.80 | 3.453 | 21 |
| 26.40 | 3.376 | 20 |
| 27.89 | 3.198 | 23 |
| 30.93 | 2.891 | 15 |
| 31.78 | 2.816 | 27 |
| 42.74 | 2.116 | 17 |